Theoretical XRD peak list of PrPdPb for Cu Ka, from a crystal structure in the Materials Project, relaxed with GGA-PBE.
No peak broadening, texture or thermal motion is included.

Peak list (6 most intense, 10° ≤ 2θ ≤ 90°, in order of rising 2θ)
- 2θ = 31.22°, intensity 100
- 2θ = 33.92°, intensity 75
- 2θ = 34.65°, intensity 60
- 2θ = 39.47°, intensity 30
- 2θ = 41.08°, intensity 33
- 2θ = 63.28°, intensity 34

Structural model:
a = 7.9079 Å, b = 7.9079 Å, c = 4.1560 Å
α = 90.00°, β = 90.00°, γ = 120.00°
Element x y z (fractional)
Pr 0.0000 0.4101 0.0000
Pr 0.4101 0.0000 0.0000
Pr 0.5899 0.5899 0.0000
Pd 0.0000 0.0000 0.0000
Pd 0.3333 0.6667 0.5000
Pd 0.6667 0.3333 0.5000
Pb 0.0000 0.7443 0.5000
Pb 0.2557 0.2557 0.5000
Pb 0.7443 0.0000 0.5000



Theoretical XRD peak list of ReC2 for Cu Ka, from a crystal structure in the Materials Project, relaxed with GGA-PBE.
No peak broadening, texture or thermal motion is included.

Peak list (6 most intense, 10° ≤ 2θ ≤ 90°, in order of rising 2θ)
- 2θ = 21.79°, intensity 79
- 2θ = 37.82°, intensity 100
- 2θ = 42.58°, intensity 29
- 2θ = 49.68°, intensity 46
- 2θ = 68.82°, intensity 18
- 2θ = 69.40°, intensity 21

Structural model:
a = 2.8712 Å, b = 2.8712 Å, c = 8.1585 Å
α = 90.00°, β = 90.00°, γ = 120.00°
Element x y z (fractional)
Re 0.3333 0.6667 0.2500
Re 0.6667 0.3333 0.7500
C 0.0000 0.0000 0.0847
C 0.0000 0.0000 0.4153
C 0.0000 0.0000 0.5847
C 0.0000 0.0000 0.9153



Theoretical XRD peak list of Ce2MgNi2 for Cu Ka, from a crystal structure in the Materials Project, relaxed with GGA-PBE.
No peak broadening, texture or thermal motion is included.

Peak list (6 most intense, 10° ≤ 2θ ≤ 90°, in order of rising 2θ)
- 2θ = 16.59°, intensity 21
- 2θ = 26.37°, intensity 16
- 2θ = 34.43°, intensity 16
- 2θ = 36.49°, intensity 100
- 2θ = 37.59°, intensity 13
- 2θ = 37.69°, intensity 14

Structural model:
a = 10.4214 Å, b = 7.5693 Å, c = 10.4242 Å
α = 90.00°, β = 92.76°, γ = 90.00°
Element x y z (fractional)
Ce 0.0841 0.1710 0.4179
Ce 0.0841 0.3290 0.9179
Ce 0.1672 0.6673 0.3366
Ce 0.1672 0.8327 0.8366
Ce 0.3318 0.1659 0.6723
Ce 0.3318 0.3341 0.1723
Ce 0.4150 0.6686 0.5869
Ce 0.4150 0.8314 0.0869
Ce 0.5850 0.1686 0.9131
Ce 0.5850 0.3314 0.4131
Ce 0.6682 0.6659 0.8277
Ce 0.6682 0.8341 0.3277
Ce 0.8328 0.1673 0.1634
Ce 0.8328 0.3327 0.6634
Ce 0.9159 0.6710 0.0821
Ce 0.9159 0.8290 0.5821
Mg 0.1259 0.0005 0.1288
Mg 0.1259 0.4995 0.6288
Mg 0.3771 0.0006 0.3794
Mg 0.3771 0.4994 0.8794
Mg 0.6229 0.5006 0.1206
Mg 0.6229 0.9994 0.6206
Mg 0.8741 0.9995 0.8712
Mg 0.8741 0.5005 0.3712
Ni 0.0566 0.1297 0.6895
Ni 0.0566 0.3703 0.1895
Ni 0.1870 0.6259 0.0613
Ni 0.1870 0.8741 0.5613
Ni 0.3114 0.1275 0.9497
Ni 0.3114 0.3725 0.4497
Ni 0.4424 0.6304 0.3152
Ni 0.4424 0.8696 0.8152
Ni 0.5576 0.1304 0.1848
Ni 0.5576 0.3696 0.6848
Ni 0.6886 0.6275 0.5503
Ni 0.6886 0.8725 0.0503
Ni 0.8130 0.1259 0.4387
Ni 0.8130 0.3741 0.9387
Ni 0.9434 0.6297 0.8105
Ni 0.9434 0.8703 0.3105



Theoretical XRD peak list of Sm5Pb3 for Cu Ka, from a crystal structure in the Materials Project, relaxed with GGA-PBE.
No peak broadening, texture or thermal motion is included.

Peak list (6 most intense, 10° ≤ 2θ ≤ 90°, in order of rising 2θ)
- 2θ = 26.18°, intensity 25
- 2θ = 29.47°, intensity 23
- 2θ = 32.33°, intensity 100
- 2θ = 32.65°, intensity 72
- 2θ = 33.52°, intensity 40
- 2θ = 50.23°, intensity 29

Structural model:
a = 9.2608 Å, b = 9.2608 Å, c = 6.8066 Å
α = 90.00°, β = 90.00°, γ = 120.00°
Element x y z (fractional)
Sm 0.0000 0.2394 0.2500
Sm 0.0000 0.7606 0.7500
Sm 0.2394 0.0000 0.2500
Sm 0.2394 0.2394 0.7500
Sm 0.3333 0.6667 0.0000
Sm 0.3333 0.6667 0.5000
Sm 0.6667 0.3333 0.0000
Sm 0.6667 0.3333 0.5000
Sm 0.7606 0.0000 0.7500
Sm 0.7606 0.7606 0.2500
Pb 0.0000 0.3946 0.7500
Pb 0.0000 0.6054 0.2500
Pb 0.3946 0.0000 0.7500
Pb 0.3946 0.3946 0.2500
Pb 0.6054 0.0000 0.2500
Pb 0.6054 0.6054 0.7500



Theoretical XRD peak list of Sr4Br6O for Cu Ka, from a crystal structure in the Materials Project, relaxed with GGA-PBE.
No peak broadening, texture or thermal motion is included.

Peak list (6 most intense, 10° ≤ 2θ ≤ 90°, in order of rising 2θ)
- 2θ = 21.88°, intensity 94
- 2θ = 30.07°, intensity 57
- 2θ = 31.83°, intensity 100
- 2θ = 35.38°, intensity 68
- 2θ = 35.70°, intensity 52
- 2θ = 36.89°, intensity 61

Structural model:
a = 9.7465 Å, b = 9.7465 Å, c = 7.3579 Å
α = 90.00°, β = 90.00°, γ = 90.00°
Element x y z (fractional)
Sr 0.0185 0.7500 0.0933
Sr 0.2500 0.5185 0.4067
Sr 0.2500 0.9815 0.4067
Sr 0.4815 0.7500 0.0933
Sr 0.5185 0.2500 0.9067
Sr 0.7500 0.0185 0.5933
Sr 0.7500 0.4815 0.5933
Sr 0.9815 0.2500 0.9067
Br 0.0467 0.5467 0.7500
Br 0.0467 0.9533 0.7500
Br 0.2500 0.2500 0.1385
Br 0.2500 0.2500 0.6385
Br 0.4533 0.5467 0.7500
Br 0.4533 0.9533 0.7500
Br 0.5467 0.0467 0.2500
Br 0.5467 0.4533 0.2500
Br 0.7500 0.7500 0.3615
Br 0.7500 0.7500 0.8615
Br 0.9533 0.0467 0.2500
Br 0.9533 0.4533 0.2500
O 0.2500 0.7500 0.2500
O 0.7500 0.2500 0.7500



Theoretical XRD peak list of DyLuIn2 for Cu Ka, from a crystal structure in the Materials Project, relaxed with GGA-PBE.
No peak broadening, texture or thermal motion is included.

Peak list (6 most intense, 10° ≤ 2θ ≤ 90°, in order of rising 2θ)
- 2θ = 23.89°, intensity 4
- 2θ = 34.03°, intensity 100
- 2θ = 48.90°, intensity 18
- 2θ = 60.92°, intensity 37
- 2θ = 71.65°, intensity 11
- 2θ = 81.75°, intensity 16

Structural model:
a = 7.4506 Å, b = 7.4506 Å, c = 7.4506 Å
α = 90.00°, β = 90.00°, γ = 90.00°
Element x y z (fractional)
Dy 0.0000 0.0000 0.0000
Dy 0.0000 0.5000 0.5000
Dy 0.5000 0.0000 0.5000
Dy 0.5000 0.5000 0.0000
Lu 0.0000 0.0000 0.5000
Lu 0.0000 0.5000 0.0000
Lu 0.5000 0.0000 0.0000
Lu 0.5000 0.5000 0.5000
In 0.2500 0.2500 0.2500
In 0.2500 0.2500 0.7500
In 0.2500 0.7500 0.2500
In 0.2500 0.7500 0.7500
In 0.7500 0.2500 0.2500
In 0.7500 0.2500 0.7500
In 0.7500 0.7500 0.2500
In 0.7500 0.7500 0.7500



Theoretical XRD peak list of Hg5NCl11 for Cu Ka, from a crystal structure in the Materials Project, relaxed with GGA-PBE.
No peak broadening, texture or thermal motion is included.

Peak list (6 most intense, 10° ≤ 2θ ≤ 90°, in order of rising 2θ)
- 2θ = 14.75°, intensity 100
- 2θ = 19.69°, intensity 46
- 2θ = 20.20°, intensity 43
- 2θ = 28.44°, intensity 57
- 2θ = 28.90°, intensity 45
- 2θ = 29.08°, intensity 46

Structural model:
a = 9.6627 Å, b = 9.6627 Å, c = 6.5845 Å
α = 107.50°, β = 107.50°, γ = 100.49°
Element x y z (fractional)
Hg 0.0000 0.0000 0.0000
Hg 0.1448 0.4843 0.3130
Hg 0.4843 0.1448 0.3130
Hg 0.5157 0.8552 0.6870
Hg 0.8552 0.5157 0.6870
N 0.5000 0.5000 0.0000
Cl 0.0815 0.3314 0.9302
Cl 0.1478 0.1478 0.3872
Cl 0.2018 0.6395 0.6940
Cl 0.3314 0.0815 0.9302
Cl 0.3605 0.7982 0.3060
Cl 0.5000 0.5000 0.5000
Cl 0.6395 0.2018 0.6940
Cl 0.6686 0.9185 0.0698
Cl 0.7982 0.3605 0.3060
Cl 0.8522 0.8522 0.6128
Cl 0.9185 0.6686 0.0698



Theoretical XRD peak list of CeYC4 for Cu Ka, from a crystal structure in the Materials Project, relaxed with GGA-PBE.
No peak broadening, texture or thermal motion is included.

Peak list (6 most intense, 10° ≤ 2θ ≤ 90°, in order of rising 2θ)
- 2θ = 27.58°, intensity 49
- 2θ = 27.86°, intensity 85
- 2θ = 28.01°, intensity 42
- 2θ = 28.49°, intensity 63
- 2θ = 33.98°, intensity 100
- 2θ = 44.62°, intensity 36

Structural model:
a = 7.3536 Å, b = 3.7247 Å, c = 7.2417 Å
α = 90.00°, β = 118.37°, γ = 90.00°
Element x y z (fractional)
Ce 0.0000 0.0000 0.0000
Ce 0.5000 0.5000 0.0000
Y 0.0000 0.5000 0.5000
Y 0.5000 0.0000 0.5000
C 0.1953 0.0000 0.7942
C 0.1991 0.5000 0.3081
C 0.3009 0.0000 0.6919
C 0.3047 0.5000 0.2058
C 0.6953 0.5000 0.7942
C 0.6991 0.0000 0.3081
C 0.8009 0.5000 0.6919
C 0.8047 0.0000 0.2058